Entry 1:
The following is a simulated powder diffractogram of Zr6Ni2O. It was derived from a DFT-relaxed cell (GGA+U, the Materials Project), using λ = 1.5418 Å (Cu Kα).

Main lines, low angle first (2θ from 10° to 90°):
- 2θ = 33.8°, I = 45
- 2θ = 34.5°, I = 100
- 2θ = 34.7°, I = 65
- 2θ = 36.8°, I = 40
- 2θ = 38.0°, I = 53
- 2θ = 38.3°, I = 63
- 2θ = 40.0°, I = 21
- 2θ = 41.3°, I = 24
- 2θ = 41.6°, I = 21
- 2θ = 55.5°, I = 27
- 2θ = 63.7°, I = 19
- 2θ = 66.6°, I = 33

Structural model:
a = 5.6718 Å, b = 5.6718 Å, c = 9.0103 Å
α = 91.20°, β = 91.20°, γ = 33.93°
Atoms (fractional coordinates):
Zr 0.0720 0.0720 0.2469
Zr 0.3653 0.3653 0.4433
Zr 0.3664 0.3664 0.0587
Zr 0.6335 0.6335 0.9413
Zr 0.6347 0.6347 0.5567
Zr 0.9280 0.9280 0.7531
Ni 0.2373 0.2373 0.7510
Ni 0.7627 0.7627 0.2490
O 0.0000 0.0000 0.0000

---

Entry 2:
The following is a simulated powder diffractogram of Mn2O3F. It was derived from a DFT-relaxed cell (GGA+U, the Materials Project), using λ = 1.5418 Å (Cu Kα).

Main lines, low angle first (2θ from 10° to 90°):
- 2θ = 27.1°, I = 82
- 2θ = 28.4°, I = 89
- 2θ = 36.0°, I = 100
- 2θ = 39.7°, I = 13
- 2θ = 40.9°, I = 18
- 2θ = 41.8°, I = 14
- 2θ = 53.9°, I = 46
- 2θ = 55.4°, I = 52
- 2θ = 55.9°, I = 17
- 2θ = 58.8°, I = 14
- 2θ = 62.3°, I = 16
- 2θ = 69.6°, I = 32

Structural model:
a = 5.4388 Å, b = 5.4388 Å, c = 5.4388 Å
α = 113.53°, β = 109.39°, γ = 105.59°
Atoms (fractional coordinates):
Mn 0.0000 0.0000 0.5000
Mn 0.0000 0.5000 0.0000
Mn 0.4735 0.2235 0.2500
Mn 0.5265 0.7765 0.7500
O 0.1894 0.9394 0.2500
O 0.3071 0.0000 0.8071
O 0.3071 0.5000 0.3071
O 0.6929 0.0000 0.1929
O 0.6929 0.5000 0.6929
O 0.8106 0.0606 0.7500
F 0.2294 0.4794 0.7500
F 0.7706 0.5206 0.2500

---

Entry 3:
The following is a simulated powder diffractogram of Na3MnO3. It was derived from a DFT-relaxed cell (GGA+U, the Materials Project), using λ = 1.5418 Å (Cu Kα).

Main lines, low angle first (2θ from 10° to 90°):
- 2θ = 15.2°, I = 65
- 2θ = 17.0°, I = 39
- 2θ = 18.0°, I = 15
- 2θ = 18.2°, I = 61
- 2θ = 22.3°, I = 17
- 2θ = 28.1°, I = 18
- 2θ = 33.0°, I = 38
- 2θ = 34.3°, I = 75
- 2θ = 34.8°, I = 100
- 2θ = 36.8°, I = 52
- 2θ = 44.1°, I = 30
- 2θ = 54.9°, I = 31

Structural model:
a = 6.0950 Å, b = 11.7051 Å, c = 11.6739 Å
α = 90.00°, β = 90.83°, γ = 90.00°
Atoms (fractional coordinates):
Na 0.0271 0.1732 0.2521
Na 0.0271 0.3268 0.7521
Na 0.1301 0.0438 0.8750
Na 0.1301 0.4562 0.3750
Na 0.2093 0.7059 0.4671
Na 0.2093 0.7941 0.9671
Na 0.2706 0.2083 0.5378
Na 0.2706 0.2917 0.0378
Na 0.3707 0.5406 0.1242
Na 0.3707 0.9594 0.6242
Na 0.3824 0.6918 0.7413
Na 0.3824 0.8082 0.2413
Na 0.6176 0.1918 0.7587
Na 0.6176 0.3082 0.2587
Na 0.6293 0.0406 0.3758
Na 0.6293 0.4594 0.8758
Na 0.7294 0.7083 0.9622
Na 0.7294 0.7917 0.4622
Na 0.7907 0.2059 0.0329
Na 0.7907 0.2941 0.5329
Na 0.8699 0.5438 0.6250
Na 0.8699 0.9562 0.1250
Na 0.9729 0.6732 0.2479
Na 0.9729 0.8268 0.7479
Mn 0.1248 0.5518 0.9071
Mn 0.1248 0.9482 0.4071
Mn 0.4068 0.0544 0.1006
Mn 0.4068 0.4456 0.6006
Mn 0.5932 0.5544 0.3994
Mn 0.5932 0.9456 0.8994
Mn 0.8752 0.0518 0.5929
Mn 0.8752 0.4482 0.0929
O 0.0062 0.1376 0.7081
O 0.0062 0.3624 0.2081
O 0.0092 0.1004 0.4313
O 0.0092 0.3996 0.9313
O 0.1229 0.1088 0.0745
O 0.1229 0.3912 0.5745
O 0.3727 0.6138 0.3031
O 0.3727 0.8862 0.8031
O 0.4036 0.6150 0.9247
O 0.4036 0.8850 0.4247
O 0.4719 0.6016 0.5737
O 0.4719 0.8984 0.0737
O 0.5281 0.1016 0.9263
O 0.5281 0.3984 0.4263
O 0.5964 0.1150 0.5753
O 0.5964 0.3850 0.0753
O 0.6273 0.1138 0.1969
O 0.6273 0.3862 0.6969
O 0.8771 0.6088 0.4255
O 0.8771 0.8912 0.9255
O 0.9908 0.6004 0.0687
O 0.9908 0.8996 0.5687
O 0.9938 0.6376 0.7919
O 0.9938 0.8624 0.2919

---

What did the first record say?
The following is a simulated powder diffractogram of Zr6Ni2O. It was derived from a DFT-relaxed cell (GGA+U, the Materials Project), using λ = 1.5418 Å (Cu Kα).

Main lines, low angle first (2θ from 10° to 90°):
- 2θ = 33.8°, I = 45
- 2θ = 34.5°, I = 100
- 2θ = 34.7°, I = 65
- 2θ = 36.8°, I = 40
- 2θ = 38.0°, I = 53
- 2θ = 38.3°, I = 63
- 2θ = 40.0°, I = 21
- 2θ = 41.3°, I = 24
- 2θ = 41.6°, I = 21
- 2θ = 55.5°, I = 27
- 2θ = 63.7°, I = 19
- 2θ = 66.6°, I = 33

Structural model:
a = 5.6718 Å, b = 5.6718 Å, c = 9.0103 Å
α = 91.20°, β = 91.20°, γ = 33.93°
Atoms (fractional coordinates):
Zr 0.0720 0.0720 0.2469
Zr 0.3653 0.3653 0.4433
Zr 0.3664 0.3664 0.0587
Zr 0.6335 0.6335 0.9413
Zr 0.6347 0.6347 0.5567
Zr 0.9280 0.9280 0.7531
Ni 0.2373 0.2373 0.7510
Ni 0.7627 0.7627 0.2490
O 0.0000 0.0000 0.0000

---

What did the third record say?
The following is a simulated powder diffractogram of Na3MnO3. It was derived from a DFT-relaxed cell (GGA+U, the Materials Project), using λ = 1.5418 Å (Cu Kα).

Main lines, low angle first (2θ from 10° to 90°):
- 2θ = 15.2°, I = 65
- 2θ = 17.0°, I = 39
- 2θ = 18.0°, I = 15
- 2θ = 18.2°, I = 61
- 2θ = 22.3°, I = 17
- 2θ = 28.1°, I = 18
- 2θ = 33.0°, I = 38
- 2θ = 34.3°, I = 75
- 2θ = 34.8°, I = 100
- 2θ = 36.8°, I = 52
- 2θ = 44.1°, I = 30
- 2θ = 54.9°, I = 31

Structural model:
a = 6.0950 Å, b = 11.7051 Å, c = 11.6739 Å
α = 90.00°, β = 90.83°, γ = 90.00°
Atoms (fractional coordinates):
Na 0.0271 0.1732 0.2521
Na 0.0271 0.3268 0.7521
Na 0.1301 0.0438 0.8750
Na 0.1301 0.4562 0.3750
Na 0.2093 0.7059 0.4671
Na 0.2093 0.7941 0.9671
Na 0.2706 0.2083 0.5378
Na 0.2706 0.2917 0.0378
Na 0.3707 0.5406 0.1242
Na 0.3707 0.9594 0.6242
Na 0.3824 0.6918 0.7413
Na 0.3824 0.8082 0.2413
Na 0.6176 0.1918 0.7587
Na 0.6176 0.3082 0.2587
Na 0.6293 0.0406 0.3758
Na 0.6293 0.4594 0.8758
Na 0.7294 0.7083 0.9622
Na 0.7294 0.7917 0.4622
Na 0.7907 0.2059 0.0329
Na 0.7907 0.2941 0.5329
Na 0.8699 0.5438 0.6250
Na 0.8699 0.9562 0.1250
Na 0.9729 0.6732 0.2479
Na 0.9729 0.8268 0.7479
Mn 0.1248 0.5518 0.9071
Mn 0.1248 0.9482 0.4071
Mn 0.4068 0.0544 0.1006
Mn 0.4068 0.4456 0.6006
Mn 0.5932 0.5544 0.3994
Mn 0.5932 0.9456 0.8994
Mn 0.8752 0.0518 0.5929
Mn 0.8752 0.4482 0.0929
O 0.0062 0.1376 0.7081
O 0.0062 0.3624 0.2081
O 0.0092 0.1004 0.4313
O 0.0092 0.3996 0.9313
O 0.1229 0.1088 0.0745
O 0.1229 0.3912 0.5745
O 0.3727 0.6138 0.3031
O 0.3727 0.8862 0.8031
O 0.4036 0.6150 0.9247
O 0.4036 0.8850 0.4247
O 0.4719 0.6016 0.5737
O 0.4719 0.8984 0.0737
O 0.5281 0.1016 0.9263
O 0.5281 0.3984 0.4263
O 0.5964 0.1150 0.5753
O 0.5964 0.3850 0.0753
O 0.6273 0.1138 0.1969
O 0.6273 0.3862 0.6969
O 0.8771 0.6088 0.4255
O 0.8771 0.8912 0.9255
O 0.9908 0.6004 0.0687
O 0.9908 0.8996 0.5687
O 0.9938 0.6376 0.7919
O 0.9938 0.8624 0.2919